Ba2HgBiSb: simulated powder X-ray diffraction pattern (Cu Kα, 1.54184 Å), based on a cell relaxed with PBE.
Peak positions follow from Bragg's law for the DFT cell and can differ from measured ones.

Cell and atoms:
a = 5.0071 Å, b = 18.7980 Å, c = 8.4550 Å
α = 90.00°, β = 90.00°, γ = 90.00°
Space group Cmc2_1 (No. 36)
Inequivalent atoms, fractional coordinates:
Ba1 0.0000 0.0273 0.0000 (multiplicity 4)
Ba2 0.0000 0.2021 0.6696 (multiplicity 4)
Hg1 0.0000 0.4098 0.8448 (multiplicity 4)
Bi1 0.0000 0.1715 0.2568 (multiplicity 4)
Sb1 0.0000 0.4339 0.2105 (multiplicity 4)

The 6 most intense peaks (10° ≤ 2θ ≤ 90°), in order of falling intensity:
2theta, intensity
29.72, 100
31.15, 86
14.09, 67
35.87, 54
25.08, 52
21.01, 35